Theoretical powder diffractogram of Ac2MgSi for Cu Kα X-rays, from a cell relaxed with PBE.
Peak positions follow from Bragg's law for the DFT cell and can differ from measured ones.

Structure:
```
data_Ac2MgSi
_cell_length_a 6.553
_cell_length_b 4.410
_cell_length_c 9.445
_cell_angle_alpha 90.00
_cell_angle_beta 108.16
_cell_angle_gamma 90.00
_space_group_name_H-M_alt 'P 1 21/m 1'
_space_group_IT_number 11
loop_
_space_group_symop_operation_xyz
'x,y,z'
'-x,-y,-z'
'-x,y+1/2,-z'
'x,-y+1/2,z'
loop_
_atom_site_label
_atom_site_fract_x
_atom_site_fract_y
_atom_site_fract_z
Ac1 0.198 0.250 0.422
Ac2 0.271 0.750 0.071
Mg1 0.342 0.750 0.723
Si1 0.144 0.250 0.799
```

Peak list (10 most intense, 2θ from 10° to 80°, in order of rising 2θ)
19.75°, I 42
24.94°, I 74
28.36°, I 100
28.67°, I 29
28.80°, I 31
29.38°, I 26
37.18°, I 22
40.93°, I 17
45.24°, I 16
50.78°, I 26

Theoretical powder diffractogram of K2TmGaSe4 for Cu Kα X-rays, from a cell relaxed with PBE.
Peak positions follow from Bragg's law for the DFT cell and can differ from measured ones.

Structure:
```
data_K2TmGaSe4
_cell_length_a 11.946
_cell_length_b 12.155
_cell_length_c 8.318
_cell_angle_alpha 90.00
_cell_angle_beta 134.07
_cell_angle_gamma 90.00
_space_group_name_H-M_alt 'C 1 2/c 1'
_space_group_IT_number 15
loop_
_space_group_symop_operation_xyz
'x,y,z'
'-x,-y,-z'
'-x,y,-z+1/2'
'x,-y,z+1/2'
'x+1/2,y+1/2,z'
'-x+1/2,-y+1/2,-z'
'-x+1/2,y+1/2,-z+1/2'
'x+1/2,-y+1/2,z+1/2'
loop_
_atom_site_label
_atom_site_fract_x
_atom_site_fract_y
_atom_site_fract_z
K1 0.000 0.000 0.000
K2 0.250 0.250 0.000
Tm1 0.250 0.250 0.500
Ga1 0.000 0.500 0.000
Se1 0.000 0.267 0.025
Se2 0.205 0.488 0.456
```

Peak list (10 most intense, 2θ from 10° to 80°, in order of rising 2θ)
12.62°, I 17
12.90°, I 50
24.45°, I 16
29.39°, I 54
29.92°, I 100
42.11°, I 16
42.44°, I 71
43.52°, I 18
52.18°, I 16
53.39°, I 18

Theoretical powder diffractogram of Li3Pm2Cu12Pt for Cu Kα X-rays, from a cell relaxed with PBE.
Peak positions follow from Bragg's law for the DFT cell and can differ from measured ones.

Structure:
```
data_Li3Pm2Cu12Pt
_cell_length_a 5.5213
_cell_length_b 5.5213
_cell_length_c 32.4152
_cell_angle_alpha 90.00
_cell_angle_beta 90.00
_cell_angle_gamma 120.00
_space_group_name_H-M_alt 'R -3 m'
_space_group_IT_number 166
_space_group_name_Hall '-R 3 2"'
loop_
_atom_site_label
_atom_site_fract_x
_atom_site_fract_y
_atom_site_fract_z
Li1 0.0000 0.5000 0.0000
Pm1 0.0000 0.0000 0.1434
Cu1 0.0128 0.5064 0.1034
Cu2 0.0436 0.5218 0.6142
Pt1 0.0000 0.0000 0.5000
```

Peak list (10 most intense, 2θ from 10° to 80°, in order of rising 2θ)
33.40°, I 31
33.50°, I 100
35.79°, I 69
36.55°, I 95
39.29°, I 87
43.42°, I 51
43.97°, I 84
47.24°, I 28
65.52°, I 37
67.90°, I 41

Theoretical powder diffractogram of BaLiV2 for Cu Kα X-rays, from a cell relaxed with PBE.
Peak positions follow from Bragg's law for the DFT cell and can differ from measured ones.

Structure:
```
data_BaLiV2
_cell_length_a 4.330
_cell_length_b 4.330
_cell_length_c 21.386
_cell_angle_alpha 90.00
_cell_angle_beta 90.00
_cell_angle_gamma 90.00
_space_group_name_H-M_alt 'I -4 2 d'
_space_group_IT_number 122
_space_group_name_Hall 'I -4 2bw'
loop_
_atom_site_label
_atom_site_fract_x
_atom_site_fract_y
_atom_site_fract_z
Ba1 0.000 0.000 0.000
Li1 0.000 0.000 0.500
V1 0.016 0.250 0.625
```

Peak list (10 most intense, 2θ from 10° to 80°, in order of rising 2θ)
24.05°, I 100
29.35°, I 60
30.37°, I 53
33.52°, I 30
38.77°, I 27
45.19°, I 17
47.13°, I 31
56.24°, I 18
61.80°, I 13
63.18°, I 18